1.
Structure and simulated X-ray powder pattern of RbCrF3 (a crystal structure in the Materials Project, relaxed with GGA+U; Cu Kα (weighted mean of Kα1 and Kα2)).
Peak positions follow from Bragg's law for the DFT cell and can differ from measured ones.

Crystal structure
```
data_RbCrF3
_cell_length_a 4.4143
_cell_length_b 4.4143
_cell_length_c 4.0986
_cell_angle_alpha 90.00
_cell_angle_beta 90.00
_cell_angle_gamma 90.00
_symmetry_space_group_name_H-M 'P 4/m m m'
_symmetry_Int_Tables_number 123
_symmetry_space_group_name_Hall '-P 4 2'
loop_
_atom_site_label
_atom_site_type_symbol
_atom_site_fract_x
_atom_site_fract_y
_atom_site_fract_z
Rb1 Rb 0.0000 0.0000 0.0000
Cr1 Cr 0.5000 0.5000 0.5000
F1 F 0.0000 0.5000 0.5000
F2 F 0.5000 0.5000 0.0000
```

Main lines, low angle first (2θ = 10–90°):
Position (°2θ)  I_rel  (hkl)
28.60  55  1 1 0
29.74  100  1 0 1
36.17  34  1 1 1
40.89  55  2 0 0
44.19  22  0 0 2
51.37  42  2 1 1
53.49  18  1 1 2
59.20  16  2 2 0
61.77  28  2 0 2
76.76  14  2 2 2
82.17  11  3 2 1
83.86  10  3 1 2


2.
Structure and simulated X-ray powder pattern of Na4MnMo8O47 (a crystal structure in the Materials Project, relaxed with GGA+U; Cu Kα (weighted mean of Kα1 and Kα2)).
Peak positions follow from Bragg's law for the DFT cell and can differ from measured ones.

Crystal structure
```
data_Na4MnMo8O47
_cell_length_a 9.0005
_cell_length_b 9.4558
_cell_length_c 11.6926
_cell_angle_alpha 100.08
_cell_angle_beta 102.14
_cell_angle_gamma 91.91
_symmetry_space_group_name_H-M 'P -1'
_symmetry_Int_Tables_number 2
loop_
_symmetry_equiv_pos_as_xyz
'x,y,z'
'-x,-y,-z'
loop_
_atom_site_label
_atom_site_type_symbol
_atom_site_fract_x
_atom_site_fract_y
_atom_site_fract_z
Na1 Na 0.0221 0.1354 0.4142
Na2 Na 0.2528 0.8700 0.1186
Mn1 Mn 0.5000 0.5000 0.0000
Mo1 Mo 0.2586 0.5966 0.3500
Mo2 Mo 0.3665 0.2957 0.2122
Mo3 Mo 0.3809 0.3530 0.5235
Mo4 Mo 0.4392 0.9187 0.6243
O1 O 0.0297 0.2321 0.9424
O2 O 0.0322 0.8152 0.3825
O3 O 0.0573 0.3611 0.9435
O4 O 0.0736 0.6831 0.3972
O5 O 0.0983 0.9615 0.2733
O6 O 0.1239 0.7548 0.7863
O7 O 0.1549 0.6304 0.7529
O8 O 0.1975 0.1800 0.8373
O9 O 0.1981 0.4133 0.2499
O10 O 0.2239 0.3090 0.8412
O11 O 0.2300 0.4706 0.4873
O12 O 0.2442 0.9381 0.6053
O13 O 0.2566 0.6940 0.2384
O14 O 0.2631 0.1437 0.1229
O15 O 0.3176 0.2579 0.6180
O16 O 0.3406 0.2176 0.3766
O17 O 0.3787 0.6332 0.0161
O18 O 0.4005 0.7207 0.4785
O19 O 0.4187 0.3998 0.1088
O20 O 0.4409 0.9636 0.9734
O21 O 0.4438 0.7713 0.7307
O22 O 0.4625 0.4969 0.3695
O23 O 0.4742 0.9469 0.2565
O24 O 0.5000 0.0000 0.5000
```

Main lines, low angle first (2θ = 10–90°):
Position (°2θ)  I_rel  (hkl)
10.08  100  1 0 0
11.35  60  1 0 -1
14.36  30  1 1 -1
18.23  26  1 1 1
23.04  18  2 1 0
26.37  26  2 1 1
26.95  20  2 -2 0
27.13  32  0 2 2
27.70  43  0 2 -3
28.15  16  1 2 -3
28.41  22  2 0 2
35.04  19  3 -2 0


3.
Structure and simulated X-ray powder pattern of MgV2O4 (a crystal structure in the Materials Project, relaxed with GGA+U; Cu Kα (weighted mean of Kα1 and Kα2)).
Peak positions follow from Bragg's law for the DFT cell and can differ from measured ones.

Crystal structure
```
data_MgV2O4
_cell_length_a 6.0601
_cell_length_b 6.0601
_cell_length_c 14.8488
_cell_angle_alpha 90.00
_cell_angle_beta 90.00
_cell_angle_gamma 120.00
_symmetry_space_group_name_H-M 'P 3 m 1'
_symmetry_Int_Tables_number 156
loop_
_symmetry_equiv_pos_as_xyz
'x,y,z'
'-y,x-y,z'
'-x+y,-x,z'
'-y,-x,z'
'-x+y,y,z'
'x,x-y,z'
loop_
_atom_site_label
_atom_site_type_symbol
_atom_site_fract_x
_atom_site_fract_y
_atom_site_fract_z
Mg1 Mg 0.0000 0.0000 0.0000
Mg2 Mg 0.0000 0.0000 0.2436
Mg3 Mg 0.0000 0.0000 0.6210
Mg4 Mg 0.3333 0.6667 0.2881
Mg5 Mg 0.3333 0.6667 0.9156
Mg6 Mg 0.6667 0.3333 0.5778
V1 V 0.0033 0.5016 0.1236
V2 V 0.1642 0.3284 0.4567
V3 V 0.3333 0.6667 0.6664
V4 V 0.3351 0.1675 0.7901
V5 V 0.6667 0.3333 0.3339
V6 V 0.6667 0.3333 0.9586
O1 O 0.0000 0.0000 0.3817
O2 O 0.0000 0.0000 0.8625
O3 O 0.0199 0.5099 0.3784
O4 O 0.1583 0.3165 0.7115
O5 O 0.1786 0.3572 0.1992
O6 O 0.3097 0.1549 0.5349
O7 O 0.3333 0.6667 0.0483
O8 O 0.3333 0.6667 0.5320
O9 O 0.3588 0.1794 0.0435
O10 O 0.5132 0.0264 0.8698
O11 O 0.6667 0.3333 0.2016
O12 O 0.6667 0.3333 0.7164
```

Main lines, low angle first (2θ = 10–90°):
Position (°2θ)  I_rel  (hkl)
17.92  37  0 0 3
20.73  5  0 1 2
29.47  21  1 0 4
34.71  100  0 2 1
36.31  5  2 0 2
42.17  43  0 2 4
52.29  7  2 1 4
55.73  38  0 2 7
61.17  57  2 2 0
72.29  10  4 0 1
77.09  6  4 0 4
87.40  16  4 0 7


4.
Structure and simulated X-ray powder pattern of ZnCoSiO5 (a crystal structure in the Materials Project, relaxed with GGA+U; Cu Kα (weighted mean of Kα1 and Kα2)).
Peak positions follow from Bragg's law for the DFT cell and can differ from measured ones.

Crystal structure
```
data_ZnCoSiO5
_cell_length_a 5.3696
_cell_length_b 5.4494
_cell_length_c 6.8495
_cell_angle_alpha 106.58
_cell_angle_beta 107.29
_cell_angle_gamma 99.61
_symmetry_space_group_name_H-M 'P -1'
_symmetry_Int_Tables_number 2
loop_
_symmetry_equiv_pos_as_xyz
'x,y,z'
'-x,-y,-z'
loop_
_atom_site_label
_atom_site_type_symbol
_atom_site_fract_x
_atom_site_fract_y
_atom_site_fract_z
Zn1 Zn 0.2278 0.3581 0.2620
Co1 Co 0.5000 0.0000 0.0000
Co2 Co 0.5000 0.0000 0.5000
Si1 Si 0.1647 0.3593 0.7511
O1 O 0.1568 0.7316 0.3785
O2 O 0.1857 0.6884 0.8593
O3 O 0.2618 0.2313 0.9407
O4 O 0.3307 0.3093 0.5836
O5 O 0.4131 0.0708 0.2446
```

Main lines, low angle first (2θ = 10–90°):
Position (°2θ)  I_rel  (hkl)
18.00  20  1 0 0
18.51  23  1 0 -1
28.24  100  0 1 -2
28.66  88  1 1 0
35.38  44  1 -2 0
35.90  21  2 -1 0
36.81  12  1 -1 2
41.36  17  1 2 -2
45.23  15  2 1 0
53.57  20  1 1 -4
54.85  15  0 3 0
55.82  12  2 0 2